No. 1
Starting from a structure optimized by DFT (PBE), the X-ray powder pattern of YThAl6 was simulated for Cu Kα (λ = 1.5418 Å).
Peak positions follow from Bragg's law for the DFT cell and can differ from measured ones.

Structure:
```
YThAl6
1.0
6.4054 0.0000 0.0000
-3.2027 5.5472 0.0000
0.0000 0.0000 4.6464
Y Th Al
1 1 6
Direct
0.0000 0.0000 0.0000
0.3333 0.6667 0.5000
0.3779 0.1890 0.5000
0.5253 0.0506 0.0000
0.5253 0.4747 0.0000
0.8110 0.1890 0.5000
0.8110 0.6221 0.5000
0.9494 0.4747 0.0000
```

The 10 most intense peaks (2θ = 10–90°), sorted by position:
2θ/deg, Rel. int.
15.98, 49
25.00, 100
27.86, 45
32.28, 28
37.77, 92
38.76, 20
43.15, 18
47.58, 26
48.40, 20
63.72, 19

---

No. 2
Starting from a structure optimized by DFT (PBE), the X-ray powder pattern of Th3Al9Zn2 was simulated for Cu Kα (λ = 1.5418 Å).
Peak positions follow from Bragg's law for the DFT cell and can differ from measured ones.

Structure:
```
Th3Al9Zn2
1.0
-2.1872 5.0332 6.4214
2.1872 -5.0332 6.4214
2.1872 5.0332 -6.4214
Th Al Zn
3 9 2
Direct
0.0000 0.0000 0.0000
0.3143 0.3143 0.0000
0.6857 0.6857 0.0000
0.0308 0.6629 0.3680
0.1410 0.8652 0.2758
0.2949 0.6629 0.6320
0.4106 0.1348 0.2758
0.5000 0.0000 0.5000
0.5894 0.8652 0.7242
0.7051 0.3371 0.3680
0.8590 0.1348 0.7242
0.9692 0.3371 0.6320
0.2854 0.5000 0.7854
0.7146 0.5000 0.2146
```

The 10 most intense peaks (2θ = 10–90°), sorted by position:
2θ/deg, Rel. int.
17.62, 33
22.16, 65
22.57, 50
29.19, 29
33.66, 33
33.95, 38
34.30, 100
35.68, 17
41.28, 22
54.47, 20

---

No. 3
Starting from a structure optimized by DFT (PBE), the X-ray powder pattern of ThAlZn was simulated for Cu Kα (λ = 1.5418 Å).
Peak positions follow from Bragg's law for the DFT cell and can differ from measured ones.

Structure:
```
ThAlZn
1.0
-2.1298 2.1298 7.5996
2.1298 -2.1298 7.5996
2.1298 2.1298 -7.5996
Th Al Zn
2 2 2
Direct
0.0000 0.0000 0.0000
0.7500 0.2500 0.5000
0.1654 0.6654 0.5000
0.3346 0.8346 0.5000
0.4184 0.4184 0.0000
0.5816 0.5816 0.0000
```

The 10 most intense peaks (2θ = 10–90°), sorted by position:
2θ/deg, Rel. int.
21.67, 34
23.41, 22
27.35, 48
31.96, 100
36.31, 46
42.44, 32
46.97, 23
51.23, 18
57.06, 25
71.07, 21

---

No. 4
Starting from a structure optimized by DFT (PBE), the X-ray powder pattern of Th2Al3Zn2 was simulated for Cu Kα (λ = 1.5418 Å).
Peak positions follow from Bragg's law for the DFT cell and can differ from measured ones.

Structure:
```
Th2Al3Zn2
1.0
2.2442 -9.5823 0.0000
2.2442 9.5823 0.0000
0.0000 0.0000 7.0732
Th Al Zn
4 6 4
Direct
0.0486 0.9514 0.7500
0.1601 0.8399 0.2500
0.8399 0.1601 0.7500
0.9514 0.0486 0.2500
0.2194 0.7806 0.7500
0.4395 0.5605 0.5704
0.4395 0.5605 0.9296
0.5605 0.4395 0.0704
0.5605 0.4395 0.4296
0.7806 0.2194 0.2500
0.3176 0.6824 0.0664
0.3176 0.6824 0.4336
0.6824 0.3176 0.5664
0.6824 0.3176 0.9336
```

The 10 most intense peaks (2θ = 10–90°), sorted by position:
2θ/deg, Rel. int.
20.32, 33
22.41, 41
25.18, 23
30.71, 23
32.57, 70
33.25, 100
40.16, 34
42.74, 30
54.28, 23
60.11, 22

---

No. 5
Starting from a structure optimized by DFT (PBE), the X-ray powder pattern of Th2AlZn was simulated for Cu Kα (λ = 1.5418 Å).
Peak positions follow from Bragg's law for the DFT cell and can differ from measured ones.

Structure:
```
Th2AlZn
1.0
6.0740 0.0000 0.0000
0.0000 4.1432 0.0000
-2.8815 0.0000 8.2217
Th Al Zn
4 2 2
Direct
0.2129 0.2500 0.4210
0.2725 0.7500 0.0676
0.7275 0.2500 0.9324
0.7871 0.7500 0.5790
0.3591 0.7500 0.7149
0.6409 0.2500 0.2851
0.1535 0.2500 0.7838
0.8465 0.7500 0.2162
```

The 10 most intense peaks (2θ = 10–90°), sorted by position:
2θ/deg, Rel. int.
21.63, 23
26.66, 57
30.64, 100
31.19, 60
31.60, 23
38.17, 24
40.93, 22
49.52, 22
50.36, 22
54.66, 26

---

No. 6
Starting from a structure optimized by DFT (PBE), the X-ray powder pattern of TiAl4 was simulated for Cu Kα (λ = 1.5418 Å).
Peak positions follow from Bragg's law for the DFT cell and can differ from measured ones.

Structure:
```
TiAl4
1.0
-2.5246 2.5246 3.8928
2.5246 -2.5246 3.8928
2.5246 2.5246 -3.8928
Ti Al
1 4
Direct
0.0000 0.0000 0.0000
0.2500 0.7500 0.5000
0.3434 0.3434 0.0000
0.6566 0.6566 0.0000
0.7500 0.2500 0.5000
```

The 10 most intense peaks (2θ = 10–90°), sorted by position:
2θ/deg, Rel. int.
24.94, 25
34.07, 61
35.56, 100
39.02, 64
51.17, 33
53.81, 47
62.91, 18
77.44, 15
78.42, 17
86.13, 14